The following is a simulated powder X-ray diffraction pattern of PmTm8Tl2. It was derived from DFT lattice parameters and positions (GGA-PBE), using Cu Kα X-rays.
No peak broadening, texture or thermal motion is included.

Most intense lines, 2θ = 10–80°, sorted by position:
Position (°2θ)  I_rel
29.6  55.8
30.1  45.9
31.5  85.8
32.6  71.5
33.0  44.0
33.4  50.7
34.2  100.0
35.5  35.6

Structural model:
```
PmTm8Tl2
1.0
4.3847 -7.5068 0.0000
4.3847 7.5068 0.0000
-2.1955 0.0000 5.0902
Pm Tm Tl
1 8 2
Direct
0.0000 0.0000 0.0000
0.0955 0.3227 0.6208
0.2187 0.7813 0.0000
0.3227 0.0955 0.6208
0.4053 0.4053 0.2032
0.5947 0.5947 0.7968
0.6773 0.9045 0.3792
0.7813 0.2187 0.0000
0.9045 0.6773 0.3792
0.3062 0.6938 0.5000
0.6938 0.3062 0.5000
```

---

The following is a simulated powder X-ray diffraction pattern of AcPmRu4. It was derived from DFT lattice parameters and positions (GGA-PBE), using Cu Kα X-rays.
No peak broadening, texture or thermal motion is included.

Most intense lines, 2θ = 10–80°, sorted by position:
Position (°2θ)  I_rel
19.8  3.7
32.7  47.8
38.5  100.0
40.3  23.3
58.3  18.7
62.2  32.7
68.4  25.2
77.9  8.1

Structural model:
```
AcPmRu4
1.0
0.0000 3.8780 3.8780
3.8780 0.0000 3.8780
3.8780 3.8780 0.0000
Ac Pm Ru
1 1 4
Direct
0.0000 0.0000 0.0000
0.7500 0.7500 0.7500
0.3755 0.3755 0.3755
0.3755 0.3755 0.8734
0.3755 0.8734 0.3755
0.8734 0.3755 0.3755
```